Calculated powder diffractogram of Pm3PaO7 for Cu Kα (λ = 1.5418 Å), from DFT lattice parameters and positions (GGA-PBE).
Lines closer than 0.1° are merged.

a b c (Å): 6.7906 6.7906 7.9115
angles (deg): 90.00 90.00 109.81
Fractional coordinates of all 22 atoms:
Pm  0.0006  0.0006  0.0000
Pm  0.0314  0.5044  0.2502
Pm  0.4956  0.9686  0.2498
Pm  0.5044  0.0314  0.7498
Pm  0.9686  0.4956  0.7502
Pm  0.9994  0.9994  0.5000
Pa  0.4999  0.4999  0.0000
Pa  0.5001  0.5001  0.5000
O  0.1334  0.8666  0.2500
O  0.1326  0.8674  0.7500
O  0.1671  0.4154  0.9707
O  0.1677  0.4163  0.5298
O  0.4084  0.5916  0.2500
O  0.4154  0.1671  0.0293
O  0.4163  0.1677  0.4702
O  0.5837  0.8323  0.9702
O  0.5846  0.8329  0.5293
O  0.5916  0.4084  0.7500
O  0.8323  0.5837  0.0298
O  0.8329  0.5846  0.4707
O  0.8674  0.1326  0.2500
O  0.8666  0.1334  0.7500

The 10 most intense peaks (10° ≤ 2θ ≤ 80°), by angle:
Position (°2θ)	d_spacing	I_rel
27.68	3.222	100
27.93	3.194	97
32.22	2.778	70
45.88	1.978	17
46.21	1.965	62
46.52	1.952	14
54.57	1.682	31
54.73	1.677	14
55.00	1.670	28
76.70	1.243	16